No. 1
For CsZnFeCuGe, a cell relaxed with PBE gives the theoretical X-ray diffraction stick pattern in this record (CuKα).
Kinematic intensities with the Lorentz-polarization factor, no thermal factor.

Largest 10 diffraction maxima, most intense first, 10 to 90 degrees two-theta:
d_spacing	2θ (°)	intensity	h k l
1.940	46.8	100	1 1 3
2.846	31.4	69	0 1 2
2.490	36.1	65	1 1 1
3.334	26.7	59	1 0 1
2.783	32.2	56	1 0 2
3.443	25.9	51	0 1 1
4.378	20.3	33	0 0 2
1.872	48.6	28	0 2 0
8.756	10.1	23	0 0 1
1.803	50.6	23	2 0 0

Structure:
```
data_CsZnFeCuGe
_symmetry_space_group_name_H-M 'P m m 2'
_symmetry_Int_Tables_number 25
_symmetry_space_group_name_Hall 'P 2 -2'
_cell_length_a 3.605
_cell_length_b 3.745
_cell_length_c 8.756
_cell_angle_alpha 90.00
_cell_angle_beta 90.00
_cell_angle_gamma 90.00
loop_
_atom_site_label
_atom_site_type_symbol
_atom_site_fract_x
_atom_site_fract_y
_atom_site_fract_z
Cs1 Cs 0.000 0.000 0.000
Zn1 Zn 0.500 0.500 0.684
Fe1 Fe 0.000 0.500 0.480
Cu1 Cu 0.500 0.000 0.480
Ge1 Ge 0.500 0.500 0.293
```

---

No. 2
For CsGa4Cu2, a cell relaxed with PBE gives the theoretical X-ray diffraction stick pattern in this record (CuKα).
Kinematic intensities with the Lorentz-polarization factor, no thermal factor.

Largest 10 diffraction maxima, most intense first, 10 to 90 degrees two-theta:
d_spacing	2θ (°)	intensity	h k l
2.853	31.3	100	2 0 0
2.018	44.9	57	2 2 0
4.035	22.0	56	1 1 0
6.991	12.7	55	0 0 2
3.495	25.5	44	0 0 4
2.210	40.8	39	2 0 4
1.885	48.3	34	1 0 7
2.511	35.8	27	1 0 5
1.747	52.4	26	2 2 4
1.427	65.4	24	4 0 0

Structure:
```
data_CsGa4Cu2
_symmetry_space_group_name_H-M 'I 4/m m m'
_symmetry_Int_Tables_number 139
_symmetry_space_group_name_Hall '-I 4 2'
_cell_length_a 5.707
_cell_length_b 5.707
_cell_length_c 13.981
_cell_angle_alpha 90.00
_cell_angle_beta 90.00
_cell_angle_gamma 90.00
loop_
_atom_site_label
_atom_site_type_symbol
_atom_site_fract_x
_atom_site_fract_y
_atom_site_fract_z
Cs1 Cs 0.000 0.000 0.000
Ga1 Ga 0.000 0.000 0.250
Ga2 Ga 0.000 0.500 0.000
Cu1 Cu 0.000 0.000 0.418
```

---

No. 3
For CsGaCu2Hg, a cell relaxed with PBE gives the theoretical X-ray diffraction stick pattern in this record (CuKα).
Kinematic intensities with the Lorentz-polarization factor, no thermal factor.

Largest 10 diffraction maxima, most intense first, 10 to 90 degrees two-theta:
d_spacing	2θ (°)	intensity	h k l
2.963	30.2	100	1 1 1
2.485	36.1	58	2 0 0
1.846	49.4	47	2 0 2
2.757	32.5	39	0 0 2
3.514	25.3	34	1 1 0
1.511	61.3	26	3 1 1
1.482	62.7	23	2 2 2
4.970	17.8	22	1 0 0
1.757	52.1	20	2 2 0
2.169	41.6	19	1 1 2

Structure:
```
data_CsGaCu2Hg
_symmetry_space_group_name_H-M 'P 4/m m m'
_symmetry_Int_Tables_number 123
_symmetry_space_group_name_Hall '-P 4 2'
_cell_length_a 4.970
_cell_length_b 4.970
_cell_length_c 5.515
_cell_angle_alpha 90.00
_cell_angle_beta 90.00
_cell_angle_gamma 90.00
loop_
_atom_site_label
_atom_site_type_symbol
_atom_site_fract_x
_atom_site_fract_y
_atom_site_fract_z
Cs1 Cs 0.000 0.000 0.000
Ga1 Ga 0.500 0.500 0.500
Cu1 Cu 0.000 0.500 0.500
Hg1 Hg 0.500 0.500 0.000
```

---

No. 4
For CsMnCuH6, a cell relaxed with PBE gives the theoretical X-ray diffraction stick pattern in this record (CuKα).
Kinematic intensities with the Lorentz-polarization factor, no thermal factor.

Largest 10 diffraction maxima, most intense first, 10 to 90 degrees two-theta:
d_spacing	2θ (°)	intensity	h k l
3.404	26.2	100	1 0 1
2.372	37.9	31	1 1 0
1.870	48.7	30	1 1 2
3.041	29.4	20	0 0 2
1.946	46.7	19	2 0 1
1.505	61.6	17	2 1 1
1.818	50.2	15	1 0 3
1.233	77.4	8	2 1 3
4.108	21.6	8	1 0 0
1.280	74.1	8	1 1 4

Structure:
```
data_CsMnCuH6
_symmetry_space_group_name_H-M 'P -6 m 2'
_symmetry_Int_Tables_number 187
_symmetry_space_group_name_Hall 'P -6 2'
_cell_length_a 4.7440
_cell_length_b 4.7440
_cell_length_c 6.0818
_cell_angle_alpha 90.00
_cell_angle_beta 90.00
_cell_angle_gamma 120.00
loop_
_atom_site_label
_atom_site_type_symbol
_atom_site_fract_x
_atom_site_fract_y
_atom_site_fract_z
Cs1 Cs 0.0000 0.0000 0.0000
Mn1 Mn 0.6667 0.3333 0.5000
Cu1 Cu 0.3333 0.6667 0.5000
H1 H 0.5060 0.0120 0.3299
```

---

No. 5
For CsCuHPt, a cell relaxed with PBE gives the theoretical X-ray diffraction stick pattern in this record (CuKα).
Kinematic intensities with the Lorentz-polarization factor, no thermal factor.

Largest 10 diffraction maxima, most intense first, 10 to 90 degrees two-theta:
d_spacing	2θ (°)	intensity	h k l
2.415	37.2	100	1 1 2
3.045	29.3	48	0 0 4
3.644	24.4	31	0 1 1
1.607	57.3	28	1 1 6
6.089	14.5	28	0 0 2
3.478	25.6	28	1 0 1
1.559	59.3	18	2 0 4
2.781	32.2	16	0 1 3
1.618	56.9	15	0 2 4
2.706	33.1	14	1 0 3

Structure:
```
data_CsCuHPt
_symmetry_space_group_name_H-M 'I m m 2'
_symmetry_Int_Tables_number 44
_symmetry_space_group_name_Hall 'I 2 -2'
_cell_length_a 3.629
_cell_length_b 3.818
_cell_length_c 12.179
_cell_angle_alpha 90.00
_cell_angle_beta 90.00
_cell_angle_gamma 90.00
loop_
_atom_site_label
_atom_site_type_symbol
_atom_site_fract_x
_atom_site_fract_y
_atom_site_fract_z
Cs1 Cs 0.000 0.000 0.000
Cu1 Cu 0.000 0.500 0.247
H1 H 0.000 0.000 0.256
Pt1 Pt 0.000 0.500 0.749
```

---

No. 6
For CsCuH6Ru, a cell relaxed with PBE gives the theoretical X-ray diffraction stick pattern in this record (CuKα).
Kinematic intensities with the Lorentz-polarization factor, no thermal factor.

Largest 10 diffraction maxima, most intense first, 10 to 90 degrees two-theta:
d_spacing	2θ (°)	intensity	h k l
3.514	25.3	100	1 1 0
3.117	28.6	98	1 1 -1
3.223	27.7	58	0 2 0
1.993	45.5	52	0 1 2
2.592	34.6	32	1 0 1
2.020	44.9	32	1 2 1
1.793	50.9	27	2 2 -1
2.159	41.9	24	2 0 -1
4.191	21.2	22	0 0 1
1.500	61.8	21	2 3 0

Structure:
```
data_CsCuH6Ru
_symmetry_space_group_name_H-M 'P 1 m 1'
_symmetry_Int_Tables_number 6
_symmetry_space_group_name_Hall 'P -2y'
_cell_length_a 4.403
_cell_length_b 6.446
_cell_length_c 4.406
_cell_angle_alpha 90.00
_cell_angle_beta 107.91
_cell_angle_gamma 90.00
loop_
_atom_site_label
_atom_site_type_symbol
_atom_site_fract_x
_atom_site_fract_y
_atom_site_fract_z
Cs1 Cs 0.000 0.000 0.000
Cu1 Cu 0.716 0.500 0.287
H1 H 0.020 0.324 0.486
H2 H 0.474 0.356 0.533
H3 H 0.516 0.324 0.985
Ru1 Ru 0.290 0.500 0.714
```

---

No. 7
For Cs2HfCuO4, a cell relaxed with PBE gives the theoretical X-ray diffraction stick pattern in this record (CuKα).
Kinematic intensities with the Lorentz-polarization factor, no thermal factor.

Largest 10 diffraction maxima, most intense first, 10 to 90 degrees two-theta:
d_spacing	2θ (°)	intensity	h k l
3.265	27.3	100	0 2 6
4.801	18.5	50	1 1 1
2.456	36.6	45	2 2 0
3.227	27.6	45	0 4 0
5.677	15.6	38	0 0 4
1.803	50.6	36	2 4 6
2.692	33.3	35	1 3 5
3.335	26.7	33	1 1 5
2.174	41.5	32	2 0 6
3.307	27.0	25	1 3 1

Structure:
```
data_Cs2HfCuO4
_symmetry_space_group_name_H-M 'F d d d'
_symmetry_Int_Tables_number 70
_cell_length_a 5.312
_cell_length_b 12.906
_cell_length_c 22.710
_cell_angle_alpha 90.00
_cell_angle_beta 90.00
_cell_angle_gamma 90.00
loop_
_symmetry_equiv_pos_as_xyz
'x,y,z'
'-x,-y,-z'
'-x+1/4,-y+1/4,z'
'x+1/4,y+1/4,-z'
'x,-y+1/4,-z+1/4'
'-x,y+1/4,z+1/4'
'-x+1/4,y,-z+1/4'
'x+1/4,-y,z+1/4'
'x,y+1/2,z+1/2'
'-x,-y+1/2,-z+1/2'
'-x+1/4,-y+3/4,z+1/2'
'x+1/4,y+3/4,-z+1/2'
'x,-y+3/4,-z+3/4'
'-x,y+3/4,z+3/4'
'-x+1/4,y+1/2,-z+3/4'
'x+1/4,-y+1/2,z+3/4'
'x+1/2,y,z+1/2'
'-x+1/2,-y,-z+1/2'
'-x+3/4,-y+1/4,z+1/2'
'x+3/4,y+1/4,-z+1/2'
'x+1/2,-y+1/4,-z+3/4'
'-x+1/2,y+1/4,z+3/4'
'-x+3/4,y,-z+3/4'
'x+3/4,-y,z+3/4'
'x+1/2,y+1/2,z'
'-x+1/2,-y+1/2,-z'
'-x+3/4,-y+3/4,z'
'x+3/4,y+3/4,-z'
'x+1/2,-y+3/4,-z+1/4'
'-x+1/2,y+3/4,z+1/4'
'-x+3/4,y+1/2,-z+1/4'
'x+3/4,-y+1/2,z+1/4'
loop_
_atom_site_label
_atom_site_type_symbol
_atom_site_fract_x
_atom_site_fract_y
_atom_site_fract_z
Cs1 Cs 0.125 0.125 0.303
Hf1 Hf 0.125 0.125 0.125
Cu1 Cu 0.125 0.125 0.625
O1 O 0.117 0.287 0.417
```

---

No. 8
For Cs2HfCuSe4, a cell relaxed with PBE gives the theoretical X-ray diffraction stick pattern in this record (CuKα).
Kinematic intensities with the Lorentz-polarization factor, no thermal factor.

Largest 10 diffraction maxima, most intense first, 10 to 90 degrees two-theta:
d_spacing	2θ (°)	intensity	h k l
3.131	28.5	100	0 4 0
8.250	10.7	72	1 1 0
3.813	23.3	69	0 0 2
2.774	32.3	62	2 2 2
4.125	21.5	58	2 2 0
2.828	31.6	49	2 2 -2
1.829	49.9	38	4 4 -2
2.420	37.2	34	0 4 2
2.741	32.7	33	4 0 0
3.165	28.2	33	2 0 -2

Structure:
```
data_Cs2HfCuSe4
_symmetry_space_group_name_H-M 'C 1 2/c 1'
_symmetry_Int_Tables_number 15
_symmetry_space_group_name_Hall '-C 2yc'
_cell_length_a 10.971
_cell_length_b 12.522
_cell_length_c 7.629
_cell_angle_alpha 90.00
_cell_angle_beta 91.47
_cell_angle_gamma 90.00
loop_
_atom_site_label
_atom_site_type_symbol
_atom_site_fract_x
_atom_site_fract_y
_atom_site_fract_z
Cs1 Cs 0.000 0.000 0.000
Cs2 Cs 0.250 0.250 0.000
Hf1 Hf 0.000 0.500 0.000
Cu1 Cu 0.250 0.250 0.500
Se1 Se 0.048 0.281 0.519
Se2 Se 0.171 0.494 0.257
```

---

No. 9
For Cs3Hf2CuTe10, a cell relaxed with PBE gives the theoretical X-ray diffraction stick pattern in this record (CuKα).
Kinematic intensities with the Lorentz-polarization factor, no thermal factor.

Largest 10 diffraction maxima, most intense first, 10 to 90 degrees two-theta:
d_spacing	2θ (°)	intensity	h k l
8.358	10.6	100	1 1 0
7.548	11.7	99	1 0 1
7.926	11.2	93	0 1 -1
3.478	25.6	84	1 1 3
3.201	27.9	63	2 3 1
3.454	25.8	61	1 1 -3
2.924	30.6	50	3 -1 1
2.179	41.4	37	2 -2 4
3.550	25.1	35	1 3 1
2.765	32.4	34	0 4 0

Structure:
```
data_Cs3Hf2CuTe10
_symmetry_space_group_name_H-M 'P -1'
_symmetry_Int_Tables_number 2
_symmetry_space_group_name_Hall '-P 1'
_cell_length_a 10.244
_cell_length_b 11.319
_cell_length_c 11.426
_cell_angle_alpha 89.60
_cell_angle_beta 89.59
_cell_angle_gamma 77.72
loop_
_atom_site_label
_atom_site_type_symbol
_atom_site_fract_x
_atom_site_fract_y
_atom_site_fract_z
Cs1 Cs 0.061 0.231 0.114
Cs2 Cs 0.201 0.372 0.606
Cs3 Cs 0.383 0.890 0.761
Hf1 Hf 0.191 0.841 0.356
Hf2 Hf 0.391 0.624 0.134
Cu1 Cu 0.422 0.378 0.057
Te1 Te 0.025 0.088 0.806
Te2 Te 0.090 0.754 0.566
Te3 Te 0.109 0.646 0.206
Te4 Te 0.167 0.085 0.434
Te5 Te 0.284 0.883 0.107
Te6 Te 0.306 0.416 0.258
Te7 Te 0.344 0.557 0.897
Te8 Te 0.420 0.639 0.389
Te9 Te 0.431 0.207 0.909
Te10 Te 0.454 0.878 0.431
```

---

No. 10
For Cs2CuI3, a cell relaxed with PBE gives the theoretical X-ray diffraction stick pattern in this record (CuKα).
Kinematic intensities with the Lorentz-polarization factor, no thermal factor.

Largest 10 diffraction maxima, most intense first, 10 to 90 degrees two-theta:
d_spacing	2θ (°)	intensity	h k l
3.894	22.8	100	3 1 -1
3.288	27.1	92	1 1 -3
3.372	26.4	84	2 2 -2
3.594	24.8	61	1 1 2
2.777	32.2	57	1 3 1
3.749	23.7	55	2 2 -1
2.984	29.9	44	3 1 1
1.758	52.0	40	2 0 -6
2.445	36.8	38	4 0 -4
1.948	46.6	35	2 0 4

Structure:
```
data_Cs2CuI3
_symmetry_space_group_name_H-M 'C 1 2/c 1'
_symmetry_Int_Tables_number 15
_symmetry_space_group_name_Hall '-C 2yc'
_cell_length_a 12.867
_cell_length_b 9.312
_cell_length_c 10.697
_cell_angle_alpha 90.00
_cell_angle_beta 115.62
_cell_angle_gamma 90.00
loop_
_atom_site_label
_atom_site_type_symbol
_atom_site_fract_x
_atom_site_fract_y
_atom_site_fract_z
Cs1 Cs 0.154 0.208 0.155
Cu1 Cu 0.000 0.407 0.750
I1 I 0.000 0.133 0.750
I2 I 0.151 0.448 0.447
```

---

No. 11
For CsCuI3, a cell relaxed with PBE gives the theoretical X-ray diffraction stick pattern in this record (CuKα).
Kinematic intensities with the Lorentz-polarization factor, no thermal factor.

Largest 10 diffraction maxima, most intense first, 10 to 90 degrees two-theta:
d_spacing	2θ (°)	intensity	h k l
2.989	29.9	100	2 1 0
3.701	24.0	72	0 2 0
1.969	46.1	47	2 3 0
4.658	19.1	44	1 0 -2
4.697	18.9	37	0 0 2
2.904	30.8	32	0 2 2
1.883	48.3	28	2 1 -5
3.020	29.6	27	1 1 2
3.966	22.4	23	0 1 2
6.535	13.6	20	1 0 0

Structure:
```
data_CsCuI3
_symmetry_space_group_name_H-M 'P 1 21 1'
_symmetry_Int_Tables_number 4
_symmetry_space_group_name_Hall 'P 2yb'
_cell_length_a 6.970
_cell_length_b 7.402
_cell_length_c 10.017
_cell_angle_alpha 90.00
_cell_angle_beta 110.33
_cell_angle_gamma 90.00
loop_
_atom_site_label
_atom_site_type_symbol
_atom_site_fract_x
_atom_site_fract_y
_atom_site_fract_z
Cs1 Cs 0.150 0.000 0.301
Cu1 Cu 0.434 0.111 0.863
I1 I 0.086 0.003 0.686
I2 I 0.399 0.503 0.315
I3 I 0.442 0.466 0.884
```

---

No. 12
For Cs2CuI3, a cell relaxed with PBE gives the theoretical X-ray diffraction stick pattern in this record (CuKα).
Kinematic intensities with the Lorentz-polarization factor, no thermal factor.

Largest 10 diffraction maxima, most intense first, 10 to 90 degrees two-theta:
d_spacing	2θ (°)	intensity	h k l
3.306	27.0	100	0 2 5
3.818	23.3	83	0 4 1
4.034	22.0	78	2 0 0
2.557	35.1	49	2 2 5
2.547	35.2	48	2 4 3
3.022	29.6	46	2 0 4
3.588	24.8	35	0 4 2
3.088	28.9	31	2 2 3
1.722	53.2	31	4 2 5
3.940	22.6	28	0 2 4

Structure:
```
data_Cs2CuI3
_symmetry_space_group_name_H-M 'C m c e'
_symmetry_Int_Tables_number 64
_symmetry_space_group_name_Hall '-C 2ac 2'
_cell_length_a 8.068
_cell_length_b 15.616
_cell_length_c 18.247
_cell_angle_alpha 90.00
_cell_angle_beta 90.00
_cell_angle_gamma 90.00
loop_
_atom_site_label
_atom_site_type_symbol
_atom_site_fract_x
_atom_site_fract_y
_atom_site_fract_z
Cs1 Cs 0.000 0.065 0.159
Cs2 Cs 0.000 0.150 0.572
Cu1 Cu 0.000 0.249 0.339
I1 I 0.000 0.085 0.368
I2 I 0.000 0.147 0.953
I3 I 0.250 0.203 0.750
```

---

No. 13
For CsCu2I4, a cell relaxed with PBE gives the theoretical X-ray diffraction stick pattern in this record (CuKα).
Kinematic intensities with the Lorentz-polarization factor, no thermal factor.

Largest 10 diffraction maxima, most intense first, 10 to 90 degrees two-theta:
d_spacing	2θ (°)	intensity	h k l
3.463	25.7	100	2 1 1
2.097	43.1	38	1 3 2
1.838	49.6	27	5 0 1
3.068	29.1	20	1 3 0
2.169	41.6	19	4 2 0
1.752	52.2	14	2 1 3
6.860	12.9	13	1 1 0
1.363	68.9	10	5 0 3
2.873	31.1	10	0 0 2
3.430	26.0	9	2 2 0

Structure:
```
data_CsCu2I4
_symmetry_space_group_name_H-M 'I 4/m'
_symmetry_Int_Tables_number 87
_symmetry_space_group_name_Hall '-I 4'
_cell_length_a 9.702
_cell_length_b 9.702
_cell_length_c 5.747
_cell_angle_alpha 90.00
_cell_angle_beta 90.00
_cell_angle_gamma 90.00
loop_
_atom_site_label
_atom_site_type_symbol
_atom_site_fract_x
_atom_site_fract_y
_atom_site_fract_z
Cs1 Cs 0.000 0.000 0.000
Cu1 Cu 0.000 0.500 0.250
I1 I 0.124 0.311 0.500
```